Computed XRD peak list of Sr3Li2Mg9 for Cu Kα (weighted mean of Kα1 and Kα2), from a cell relaxed with GGA-PBE.

Structural model:
a = 9.493 Å, b = 9.493 Å, c = 9.493 Å
α = 148.54°, β = 110.52°, γ = 78.25°
Fractional positions:
Sr (0.000, 0.000, 0.000)
Sr (0.300, 0.300, 0.000)
Sr (0.700, 0.700, 0.000)
Li (0.310, 0.500, 0.810)
Li (0.690, 0.500, 0.190)
Mg (0.020, 0.667, 0.353)
Mg (0.159, 0.877, 0.282)
Mg (0.314, 0.667, 0.647)
Mg (0.405, 0.123, 0.282)
Mg (0.500, 0.000, 0.500)
Mg (0.595, 0.877, 0.718)
Mg (0.686, 0.333, 0.353)
Mg (0.841, 0.123, 0.718)
Mg (0.980, 0.333, 0.647)

Peak list (10 most intense, 2θ = 10–80°, by angle)
16.4 deg, d 5.409, rel. 29.0
19.1 deg, d 4.648, rel. 41.3
19.9 deg, d 4.471, rel. 34.9
25.1 deg, d 3.553, rel. 68.6
29.3 deg, d 3.044, rel. 43.2
30.1 deg, d 2.969, rel. 100.0
30.3 deg, d 2.953, rel. 80.6
30.8 deg, d 2.906, rel. 38.0
31.0 deg, d 2.886, rel. 30.5
34.9 deg, d 2.574, rel. 47.8

Computed XRD peak list of SrLi2Mg6 for Cu Kα (weighted mean of Kα1 and Kα2), from a cell relaxed with GGA-PBE.

Structural model:
a = 9.186 Å, b = 9.186 Å, c = 9.186 Å
α = 60.00°, β = 60.00°, γ = 60.00°
Fractional positions:
Sr (0.125, 0.125, 0.125)
Sr (0.875, 0.875, 0.875)
Li (0.000, 0.500, 0.500)
Li (0.500, 0.000, 0.500)
Li (0.500, 0.500, 0.000)
Li (0.500, 0.500, 0.500)
Mg (0.148, 0.148, 0.602)
Mg (0.148, 0.602, 0.148)
Mg (0.148, 0.602, 0.602)
Mg (0.398, 0.398, 0.852)
Mg (0.398, 0.852, 0.398)
Mg (0.398, 0.852, 0.852)
Mg (0.602, 0.148, 0.148)
Mg (0.602, 0.148, 0.602)
Mg (0.602, 0.602, 0.148)
Mg (0.852, 0.398, 0.398)
Mg (0.852, 0.398, 0.852)
Mg (0.852, 0.852, 0.398)

Peak list (10 most intense, 2θ = 10–80°, by angle)
11.8 deg, d 7.500, rel. 29.7
22.7 deg, d 3.917, rel. 66.5
27.5 deg, d 3.248, rel. 100.0
30.0 deg, d 2.980, rel. 42.7
35.9 deg, d 2.500, rel. 20.6
39.2 deg, d 2.297, rel. 83.8
48.6 deg, d 1.875, rel. 22.9
54.2 deg, d 1.691, rel. 28.2
64.1 deg, d 1.452, rel. 25.3
71.1 deg, d 1.326, rel. 20.9

Computed XRD peak list of Sr2Li17Mg3 for Cu Kα (weighted mean of Kα1 and Kα2), from a cell relaxed with GGA-PBE.

Structural model:
a = 8.240 Å, b = 8.240 Å, c = 8.242 Å
α = 94.18°, β = 94.18°, γ = 86.02°
Fractional positions:
Sr (0.176, 0.176, 0.325)
Sr (0.824, 0.824, 0.675)
Li (0.000, 0.500, 0.000)
Li (0.171, 0.171, 0.782)
Li (0.172, 0.718, 0.328)
Li (0.249, 0.500, 0.749)
Li (0.249, 0.751, 0.000)
Li (0.282, 0.828, 0.672)
Li (0.407, 0.407, 0.093)
Li (0.500, 0.000, 0.000)
Li (0.500, 0.249, 0.749)
Li (0.500, 0.500, 0.500)
Li (0.500, 0.751, 0.251)
Li (0.593, 0.593, 0.907)
Li (0.718, 0.172, 0.328)
Li (0.751, 0.249, 0.000)
Li (0.751, 0.500, 0.251)
Li (0.828, 0.282, 0.672)
Li (0.829, 0.829, 0.218)
Mg (0.000, 0.000, 0.000)
Mg (0.000, 0.500, 0.500)
Mg (0.500, 0.000, 0.500)

Peak list (10 most intense, 2θ = 10–80°, by angle)
10.8 deg, d 8.201, rel. 100.0
14.8 deg, d 6.003, rel. 78.8
15.8 deg, d 5.615, rel. 99.2
17.4 deg, d 5.088, rel. 84.4
23.6 deg, d 3.770, rel. 97.2
26.9 deg, d 3.311, rel. 62.1
31.9 deg, d 2.807, rel. 89.2
32.8 deg, d 2.734, rel. 56.0
36.6 deg, d 2.458, rel. 55.0
48.3 deg, d 1.885, rel. 46.6

Computed XRD peak list of Sr3Li9Mg2 for Cu Kα (weighted mean of Kα1 and Kα2), from a cell relaxed with GGA-PBE.

Structural model:
a = 9.425 Å, b = 9.425 Å, c = 9.425 Å
α = 148.78°, β = 111.95°, γ = 76.77°
Fractional positions:
Sr (0.000, 0.000, 0.000)
Sr (0.308, 0.308, 0.000)
Sr (0.692, 0.692, 0.000)
Li (0.028, 0.680, 0.348)
Li (0.158, 0.879, 0.279)
Li (0.332, 0.680, 0.652)
Li (0.400, 0.121, 0.279)
Li (0.500, 0.000, 0.500)
Li (0.600, 0.879, 0.721)
Li (0.668, 0.320, 0.348)
Li (0.842, 0.121, 0.721)
Li (0.972, 0.320, 0.652)
Mg (0.284, 0.500, 0.784)
Mg (0.716, 0.500, 0.216)

Peak list (10 most intense, 2θ = 10–80°, by angle)
16.8 deg, d 5.274, rel. 40.3
19.4 deg, d 4.571, rel. 100.0
19.9 deg, d 4.463, rel. 70.6
25.2 deg, d 3.533, rel. 34.9
30.5 deg, d 2.935, rel. 94.5
30.9 deg, d 2.889, rel. 33.0
31.3 deg, d 2.862, rel. 38.4
35.4 deg, d 2.536, rel. 22.4
47.9 deg, d 1.898, rel. 22.8
49.9 deg, d 1.828, rel. 24.2

Computed XRD peak list of SrLiMg2 for Cu Kα (weighted mean of Kα1 and Kα2), from a cell relaxed with GGA-PBE.

Structural model:
a = 6.028 Å, b = 6.028 Å, c = 5.467 Å
α = 115.00°, β = 115.00°, γ = 41.51°
Fractional positions:
Sr (0.000, 0.000, 0.000)
Li (0.500, 0.500, 0.500)
Mg (0.224, 0.224, 0.714)
Mg (0.776, 0.776, 0.286)

Peak list (10 most intense, 2θ = 10–80°, by angle)
18.2 deg, d 4.876, rel. 49.2
18.8 deg, d 4.728, rel. 54.5
22.6 deg, d 3.932, rel. 98.1
30.8 deg, d 2.905, rel. 32.8
31.7 deg, d 2.827, rel. 100.0
31.8 deg, d 2.811, rel. 27.0
32.3 deg, d 2.768, rel. 97.1
32.8 deg, d 2.731, rel. 47.7
35.7 deg, d 2.514, rel. 32.6
50.2 deg, d 1.819, rel. 32.2

Computed XRD peak list of Sr3LiMg for Cu Kα (weighted mean of Kα1 and Kα2), from a cell relaxed with GGA-PBE.

Structural model:
a = 11.865 Å, b = 11.865 Å, c = 5.958 Å
α = 90.00°, β = 90.00°, γ = 150.96°
Fractional positions:
Sr (0.067, 0.933, 0.750)
Sr (0.250, 0.750, 0.750)
Sr (0.432, 0.568, 0.750)
Sr (0.568, 0.432, 0.250)
Sr (0.750, 0.250, 0.250)
Sr (0.933, 0.067, 0.250)
Li (0.342, 0.658, 0.250)
Li (0.658, 0.342, 0.750)
Mg (0.157, 0.843, 0.250)
Mg (0.843, 0.157, 0.750)

Peak list (10 most intense, 2θ = 10–80°, by angle)
21.5 deg, d 4.141, rel. 51.4
23.2 deg, d 3.829, rel. 24.3
28.8 deg, d 3.104, rel. 100.0
30.0 deg, d 2.977, rel. 53.9
38.3 deg, d 2.350, rel. 26.6
43.0 deg, d 2.105, rel. 19.9
48.7 deg, d 1.871, rel. 17.2
49.4 deg, d 1.845, rel. 12.7
52.5 deg, d 1.742, rel. 36.3
66.9 deg, d 1.398, rel. 13.3

Copy entry 6 word for word.
Computed XRD peak list of Sr3LiMg for Cu Kα (weighted mean of Kα1 and Kα2), from a cell relaxed with GGA-PBE.

Structural model:
a = 11.865 Å, b = 11.865 Å, c = 5.958 Å
α = 90.00°, β = 90.00°, γ = 150.96°
Fractional positions:
Sr (0.067, 0.933, 0.750)
Sr (0.250, 0.750, 0.750)
Sr (0.432, 0.568, 0.750)
Sr (0.568, 0.432, 0.250)
Sr (0.750, 0.250, 0.250)
Sr (0.933, 0.067, 0.250)
Li (0.342, 0.658, 0.250)
Li (0.658, 0.342, 0.750)
Mg (0.157, 0.843, 0.250)
Mg (0.843, 0.157, 0.750)

Peak list (10 most intense, 2θ = 10–80°, by angle)
21.5 deg, d 4.141, rel. 51.4
23.2 deg, d 3.829, rel. 24.3
28.8 deg, d 3.104, rel. 100.0
30.0 deg, d 2.977, rel. 53.9
38.3 deg, d 2.350, rel. 26.6
43.0 deg, d 2.105, rel. 19.9
48.7 deg, d 1.871, rel. 17.2
49.4 deg, d 1.845, rel. 12.7
52.5 deg, d 1.742, rel. 36.3
66.9 deg, d 1.398, rel. 13.3